Structure and simulated X-ray diffraction stick pattern of CoSiP (the PBE geometry in OQMD; Cu Ka).

Largest 8 diffraction maxima, low angle first, 10 to 90 degrees two-theta:
(hkl), two_theta, Rel. int.
1 0 1, 28.87, 100
1 1 2, 47.73, 88
2 0 0, 48.65, 41
1 0 3, 55.92, 14
2 1 1, 57.56, 25
2 2 0, 71.26, 13
2 1 3, 77.23, 10
2 0 4, 88.28, 14

Lattice parameters (Å, degrees): 3.7432 3.7432 5.4913 90.00 90.00 90.00
Sites, in units of the cell vectors:
Co 0.0000 0.5000 0.0000
Co 0.5000 0.0000 0.5000
Si 0.0000 0.0000 0.2500
Si 0.0000 0.0000 0.7500
P 0.5000 0.5000 0.2500
P 0.5000 0.5000 0.7500